1.
The following is a computed XRD peak list of LiZn3Cu. It was derived from a PBE-relaxed structure, using Cu Kα, 1.54184 Å.

Principal peaks in the range 2θ = 10–90°, most intense first:
2θ (°)  I (rel.)
42.24  100.0
42.62  88.9
17.50  47.6
17.07  41.2
39.57  38.7
50.30  30.6
38.96  28.6
24.54  27.3
79.34  21.6
78.04  19.4

Structure:
a b c (Å): 7.2579 7.2579 5.6479
angles (deg): 90.00 90.00 91.41
Atoms (fractional coordinates):
Li 0.2487 0.2513 0.2500
Li 0.2513 0.2487 0.7500
Li 0.7487 0.7513 0.2500
Li 0.7513 0.7487 0.7500
Zn 0.0943 0.9057 0.3657
Zn 0.1011 0.6080 0.6227
Zn 0.1080 0.6011 0.1227
Zn 0.3920 0.8989 0.6227
Zn 0.3989 0.8920 0.1227
Zn 0.4057 0.5943 0.8657
Zn 0.5943 0.4057 0.1343
Zn 0.6011 0.1080 0.8773
Zn 0.6080 0.1011 0.3773
Zn 0.8920 0.3989 0.8773
Zn 0.8989 0.3920 0.3773
Zn 0.9057 0.0943 0.6343
Cu 0.1006 0.8994 0.8843
Cu 0.3994 0.6006 0.3843
Cu 0.6006 0.3994 0.6157
Cu 0.8994 0.1006 0.1157

2.
The following is a computed XRD peak list of HfIn2Br4Cl2. It was derived from a PBE-relaxed structure, using Cu Kα, 1.54184 Å.

Principal peaks in the range 2θ = 10–90°, most intense first:
2θ (°)  I (rel.)
33.23  100.0
14.45  61.2
29.14  55.3
14.23  54.9
23.89  47.9
23.62  47.2
34.45  26.8
28.05  26.2
41.34  25.4
27.54  23.8

Structure:
a b c (Å): 7.4542 7.4542 7.6752
angles (deg): 120.25 120.25 61.10
Atoms (fractional coordinates):
Hf 0.0000 0.0000 0.0000
In 0.2454 0.2454 0.7627
In 0.7546 0.7546 0.2373
Br 0.1976 0.7079 0.1901
Br 0.2921 0.8024 0.8099
Br 0.7079 0.1976 0.1901
Br 0.8024 0.2921 0.8099
Cl 0.2256 0.2256 0.3048
Cl 0.7744 0.7744 0.6952